Entry 1:
# TbMgCu
Theoretical XRD peak list, Cu Kα. Input: the PBE geometry in Alexandria.
No peak broadening, texture or thermal motion is included.

Peak list (12 most intense, 2θ = 5–70°, in order of falling intensity)
- 2θ = 34.36°, rel. 100, (1 0 1)
- 2θ = 38.27°, rel. 55, (1 1 0)
- 2θ = 21.82°, rel. 48, (1 0 0)
- 2θ = 52.37°, rel. 30, (2 0 1)
- 2θ = 66.70°, rel. 28, (2 1 1)
- 2θ = 68.06°, rel. 19, (1 1 2)
- 2θ = 69.20°, rel. 9, (3 0 0)
- 2θ = 44.49°, rel. 8, (2 0 0)
- 2θ = 58.87°, rel. 7, (1 0 2)
- 2θ = 53.94°, rel. 7, (0 0 2)
- 2θ = 60.10°, rel. 6, (2 1 0)
- 2θ = 46.98°, rel. 4, (1 1 1)

Atomic structure:
```
data_TbMgCu
_cell_length_a 4.7031
_cell_length_b 4.7031
_cell_length_c 3.3995
_cell_angle_alpha 90.00
_cell_angle_beta 90.00
_cell_angle_gamma 120.00
_symmetry_space_group_name_H-M 'P -6 m 2'
_symmetry_Int_Tables_number 187
_symmetry_space_group_name_Hall 'P -6 2'
loop_
_atom_site_label
_atom_site_type_symbol
_atom_site_fract_x
_atom_site_fract_y
_atom_site_fract_z
Tb1 Tb 0.0000 0.0000 0.0000
Mg1 Mg 0.6667 0.3333 0.5000
Cu1 Cu 0.3333 0.6667 0.5000
```


Entry 2:
# TbMg4Cu
Theoretical XRD peak list, Cu Kα. Input: the PBE geometry in Alexandria.
No peak broadening, texture or thermal motion is included.

Peak list (12 most intense, 2θ = 5–70°, in order of falling intensity)
- 2θ = 20.86°, rel. 100, (2 0 0)
- 2θ = 33.89°, rel. 87, (1 1 2)
- 2θ = 32.12°, rel. 63, (2 1 1)
- 2θ = 29.67°, rel. 57, (2 1 0)
- 2θ = 26.39°, rel. 45, (1 0 2)
- 2θ = 42.46°, rel. 45, (0 2 0)
- 2θ = 24.15°, rel. 37, (2 0 1)
- 2θ = 38.19°, rel. 34, (1 0 3)
- 2θ = 47.76°, rel. 29, (4 1 0)
- 2θ = 12.03°, rel. 29, (0 0 1)
- 2θ = 43.92°, rel. 24, (1 1 3)
- 2θ = 40.11°, rel. 23, (3 0 2)

Atomic structure:
```
data_TbMg4Cu
_cell_length_a 8.522
_cell_length_b 4.255
_cell_length_c 7.356
_cell_angle_alpha 90.00
_cell_angle_beta 90.00
_cell_angle_gamma 90.00
_symmetry_space_group_name_H-M 'P m m a'
_symmetry_Int_Tables_number 51
_symmetry_space_group_name_Hall '-P 2a 2a'
loop_
_atom_site_label
_atom_site_type_symbol
_atom_site_fract_x
_atom_site_fract_y
_atom_site_fract_z
Tb1 Tb 0.250 0.000 0.098
Mg1 Mg 0.000 0.000 0.500
Mg2 Mg 0.061 0.500 0.806
Mg3 Mg 0.250 0.500 0.445
Cu1 Cu 0.250 0.000 0.706
```


Entry 3:
# TbYMgCu
Theoretical XRD peak list, Cu Kα. Input: the PBE geometry in Alexandria.
No peak broadening, texture or thermal motion is included.

Peak list (10 most intense, 2θ = 5–70°, in order of falling intensity)
- 2θ = 34.88°, rel. 100, (2 2 0)
- 2θ = 62.55°, rel. 35, (4 2 2)
- 2θ = 24.47°, rel. 25, (2 0 0)
- 2θ = 50.16°, rel. 18, (4 0 0)
- 2θ = 21.15°, rel. 12, (1 1 1)
- 2θ = 56.58°, rel. 10, (4 2 0)
- 2θ = 43.07°, rel. 7, (2 2 2)
- 2θ = 41.16°, rel. 7, (3 1 1)
- 2θ = 55.02°, rel. 3, (3 3 1)
- 2θ = 66.82°, rel. 2, (5 1 1)

Atomic structure:
```
data_TbYMgCu
_cell_length_a 7.275
_cell_length_b 7.275
_cell_length_c 7.275
_cell_angle_alpha 90.00
_cell_angle_beta 90.00
_cell_angle_gamma 90.00
_symmetry_space_group_name_H-M 'F -4 3 m'
_symmetry_Int_Tables_number 216
_symmetry_space_group_name_Hall 'F -4 2 3'
loop_
_atom_site_label
_atom_site_type_symbol
_atom_site_fract_x
_atom_site_fract_y
_atom_site_fract_z
Tb1 Tb 0.000 0.000 0.000
Y1 Y 0.000 0.000 0.500
Mg1 Mg 0.250 0.250 0.250
Cu1 Cu 0.250 0.250 0.750
```


Entry 4:
# MgCu4Tc
Theoretical XRD peak list, Cu Kα. Input: the PBE geometry in Alexandria.
No peak broadening, texture or thermal motion is included.

Peak list (9 most intense, 2θ = 5–70°, in order of falling intensity)
- 2θ = 43.64°, rel. 100, (3 1 1)
- 2θ = 45.68°, rel. 44, (2 2 2)
- 2θ = 36.96°, rel. 24, (2 2 0)
- 2θ = 22.38°, rel. 19, (1 1 1)
- 2θ = 25.90°, rel. 10, (2 0 0)
- 2θ = 66.59°, rel. 8, (4 2 2)
- 2θ = 53.26°, rel. 5, (4 0 0)
- 2θ = 60.15°, rel. 4, (4 2 0)
- 2θ = 58.48°, rel. 4, (3 3 1)

Atomic structure:
```
data_MgCu4Tc
_cell_length_a 6.879
_cell_length_b 6.879
_cell_length_c 6.879
_cell_angle_alpha 90.00
_cell_angle_beta 90.00
_cell_angle_gamma 90.00
_symmetry_space_group_name_H-M 'F -4 3 m'
_symmetry_Int_Tables_number 216
_symmetry_space_group_name_Hall 'F -4 2 3'
loop_
_atom_site_label
_atom_site_type_symbol
_atom_site_fract_x
_atom_site_fract_y
_atom_site_fract_z
Mg1 Mg 0.000 0.000 0.000
Cu1 Cu 0.125 0.125 0.375
Tc1 Tc 0.250 0.250 0.750
```


Entry 5:
# ThMgCu3
Theoretical XRD peak list, Cu Kα. Input: the PBE geometry in Alexandria.
No peak broadening, texture or thermal motion is included.

Peak list (12 most intense, 2θ = 5–70°, in order of falling intensity)
- 2θ = 7.05°, rel. 100, (0 2 0)
- 2θ = 35.01°, rel. 83, (1 3 1)
- 2θ = 41.66°, rel. 45, (0 10 1)
- 2θ = 36.14°, rel. 34, (1 7 0)
- 2θ = 41.93°, rel. 28, (0 0 2)
- 2θ = 21.81°, rel. 21, (0 2 1)
- 2θ = 31.47°, rel. 19, (1 5 0)
- 2θ = 56.53°, rel. 19, (1 7 2)
- 2θ = 37.92°, rel. 19, (1 5 1)
- 2θ = 69.66°, rel. 18, (2 10 1)
- 2θ = 14.12°, rel. 13, (0 4 0)
- 2θ = 25.07°, rel. 13, (0 4 1)

Atomic structure:
```
data_ThMgCu3
_cell_length_a 3.449
_cell_length_b 25.086
_cell_length_c 4.309
_cell_angle_alpha 90.00
_cell_angle_beta 90.00
_cell_angle_gamma 90.00
_symmetry_space_group_name_H-M 'C m c m'
_symmetry_Int_Tables_number 63
_symmetry_space_group_name_Hall '-C 2c 2'
loop_
_atom_site_label
_atom_site_type_symbol
_atom_site_fract_x
_atom_site_fract_y
_atom_site_fract_z
Th1 Th 0.000 0.077 0.250
Mg1 Mg 0.000 0.211 0.750
Cu1 Cu 0.000 0.320 0.750
Cu2 Cu 0.000 0.373 0.250
Cu3 Cu 0.000 0.474 0.250
```


Entry 6:
# ThMg2Cu4
Theoretical XRD peak list, Cu Kα. Input: the PBE geometry in Alexandria.
No peak broadening, texture or thermal motion is included.

Peak list (12 most intense, 2θ = 5–70°, in order of falling intensity)
- 2θ = 10.12°, rel. 100, (0 0 2)
- 2θ = 35.32°, rel. 67, (1 1 2)
- 2θ = 41.81°, rel. 59, (0 2 0)
- 2θ = 30.66°, rel. 34, (1 0 3)
- 2θ = 39.71°, rel. 28, (1 1 4)
- 2θ = 37.05°, rel. 27, (1 0 5)
- 2θ = 21.20°, rel. 20, (0 1 1)
- 2θ = 32.97°, rel. 18, (0 1 5)
- 2θ = 52.77°, rel. 15, (1 2 3)
- 2θ = 57.12°, rel. 15, (1 2 5)
- 2θ = 54.45°, rel. 11, (2 0 0)
- 2θ = 63.75°, rel. 9, (1 1 10)

Atomic structure:
```
data_ThMg2Cu4
_cell_length_a 3.370
_cell_length_b 4.316
_cell_length_c 17.483
_cell_angle_alpha 90.00
_cell_angle_beta 90.00
_cell_angle_gamma 90.00
_symmetry_space_group_name_H-M 'I m m m'
_symmetry_Int_Tables_number 71
_symmetry_space_group_name_Hall '-I 2 2'
loop_
_atom_site_label
_atom_site_type_symbol
_atom_site_fract_x
_atom_site_fract_y
_atom_site_fract_z
Th1 Th 0.000 0.000 0.000
Mg1 Mg 0.000 0.500 0.194
Cu1 Cu 0.000 0.000 0.427
Cu2 Cu 0.000 0.500 0.351
```